1.
Theoretical PXRD pattern of Nd3Zn4Rh4 for Cu Kα, 1.54184 Å, from a PBE-relaxed structure.
Kinematic intensities with the Lorentz-polarization factor, no thermal factor.

Principal peaks in the range 10° ≤ 2θ ≤ 90°, by intensity:
(hkl)  Position (°2θ)  intensity
2 2 0  33.1  100
3 1 0  37.2  45
4 1 1  50.6  31
3 2 1  44.3  31
2 1 1  28.6  22
4 2 2  59.2  22
4 4 0  69.5  13
6 2 2  83.9  12
3 3 2  56.4  12
6 0 0  74.4  12

Atomic structure:
```
data_Nd3Zn4Rh4
_symmetry_space_group_name_H-M 'I -4 3 m'
_symmetry_Int_Tables_number 217
_symmetry_space_group_name_Hall 'I -4 2 3'
_cell_length_a 7.648
_cell_length_b 7.648
_cell_length_c 7.648
_cell_angle_alpha 90.00
_cell_angle_beta 90.00
_cell_angle_gamma 90.00
loop_
_atom_site_label
_atom_site_fract_x
_atom_site_fract_y
_atom_site_fract_z
Nd1 0.000 0.000 0.500
Zn1 0.121 0.121 0.879
Rh1 0.199 0.199 0.199
```

***

2.
Theoretical PXRD pattern of PmTmNi2P2 for Cu Kα, 1.54184 Å, from a PBE-relaxed structure.
Kinematic intensities with the Lorentz-polarization factor, no thermal factor.

Principal peaks in the range 10° ≤ 2θ ≤ 90°, by intensity:
(hkl)  Position (°2θ)  intensity
0 1 2  35.1  100
1 1 0  46.6  34
1 0 0  26.4  29
2 0 2  59.6  21
1 1 4  67.8  21
1 2 2  78.8  19
0 0 4  46.4  11
0 1 6  78.5  9
1 0 4  54.1  9
3 0 0  86.4  6

Atomic structure:
```
data_PmTmNi2P2
_symmetry_space_group_name_H-M 'P -3 m 1'
_symmetry_Int_Tables_number 164
_symmetry_space_group_name_Hall '-P 3 2"'
_cell_length_a 3.9015
_cell_length_b 3.9015
_cell_length_c 7.8353
_cell_angle_alpha 90.00
_cell_angle_beta 90.00
_cell_angle_gamma 120.00
loop_
_atom_site_label
_atom_site_fract_x
_atom_site_fract_y
_atom_site_fract_z
Pm1 0.0000 0.0000 0.0000
Tm1 0.0000 0.0000 0.5000
Ni1 0.3333 0.6667 0.7405
P1 0.3333 0.6667 0.2607
```

***

3.
Theoretical PXRD pattern of Pm2Dy6Hg for Cu Kα, 1.54184 Å, from a PBE-relaxed structure.
Kinematic intensities with the Lorentz-polarization factor, no thermal factor.

Principal peaks in the range 10° ≤ 2θ ≤ 90°, by intensity:
(hkl)  Position (°2θ)  intensity
3 3 0  32.5  100
2 2 1  33.3  66
0 6 0  30.8  57
1 1 1  27.4  49
2 4 1  37.9  39
1 5 1  37.4  31
3 3 2  62.3  28
2 8 1  53.1  18
5 1 1  55.6  17
3 9 0  55.9  16

Atomic structure:
```
data_Pm2Dy6Hg
_symmetry_space_group_name_H-M 'C m m m'
_symmetry_Int_Tables_number 65
_symmetry_space_group_name_Hall '-C 2 2'
_cell_length_a 9.394
_cell_length_b 17.413
_cell_length_c 3.543
_cell_angle_alpha 90.00
_cell_angle_beta 90.00
_cell_angle_gamma 90.00
loop_
_atom_site_label
_atom_site_fract_x
_atom_site_fract_y
_atom_site_fract_z
Pm1 0.000 0.181 0.000
Dy1 0.176 0.339 0.500
Dy2 0.209 0.000 0.000
Hg1 0.000 0.500 0.500
```

***

4.
Theoretical PXRD pattern of TlRh2F11 for Cu Kα, 1.54184 Å, from a PBE-relaxed structure.
Kinematic intensities with the Lorentz-polarization factor, no thermal factor.

Principal peaks in the range 10° ≤ 2θ ≤ 90°, by intensity:
(hkl)  Position (°2θ)  intensity
1 1 2  22.3  100
0 2 2  26.6  74
2 1 1  24.2  54
3 1 0  32.1  37
3 3 2  47.2  35
1 3 4  48.0  34
1 1 0  14.2  32
2 2 4  45.6  28
4 0 2  44.7  19
4 2 0  46.1  16

Atomic structure:
```
data_TlRh2F11
_symmetry_space_group_name_H-M 'I b a m'
_symmetry_Int_Tables_number 72
_symmetry_space_group_name_Hall '-I 2 2c'
_cell_length_a 8.799
_cell_length_b 8.819
_cell_length_c 10.342
_cell_angle_alpha 90.00
_cell_angle_beta 90.00
_cell_angle_gamma 90.00
loop_
_atom_site_label
_atom_site_fract_x
_atom_site_fract_y
_atom_site_fract_z
Tl1 0.000 0.000 0.250
Rh1 0.162 0.337 0.000
F1 0.000 0.500 0.000
F2 0.051 0.226 0.134
F3 0.190 0.310 0.500
F4 0.226 0.052 0.366
```